Record 1
Structure and theoretical X-ray diffraction stick pattern of Mg2TaNi3Bi3 (a structure optimized by DFT (GGA-PBE); Cu Ka).
Lines closer than 0.1° are merged.

Structural model:
a = 7.6084 Å, b = 13.1513 Å, c = 7.5826 Å
α = 90.00°, β = 109.46°, γ = 90.00°
Space group Cc (No. 9)
Symmetry-distinct sites (fractional):
Mg  0.0000  0.0833  0.0000 [4 per cell]
Mg  0.4922  0.2483  0.9994 [4 per cell]
Ta  0.4914  0.0822  0.4940 [4 per cell]
Ni  0.1065  0.4259  0.3594 [4 per cell]
Ni  0.1119  0.2610  0.8785 [4 per cell]
Ni  0.1393  0.0834  0.3785 [4 per cell]
Bi  0.2381  0.0885  0.7500 [4 per cell]
Bi  0.2421  0.2539  0.2498 [4 per cell]
Bi  0.2534  0.4162  0.7429 [4 per cell]

The 12 most intense peaks (15° ≤ 2θ ≤ 90°), by angle:
| Position (°2θ) | d [Å] | I/Imax | hkl |
| --- | --- | --- | --- |
| 24.9 | 3.583 | 52.6 | 1 3 -1 |
| 24.9 | 3.575 | 16.6 | 0 0 2 |
| 28.8 | 3.101 | 77.0 | 1 3 1 |
| 41.1 | 2.194 | 100.0 | 2 0 2 |
| 41.2 | 2.190 | 50.2 | 1 3 -3 |
| 48.7 | 1.871 | 19.1 | 3 3 1 |
| 48.7 | 1.868 | 13.4 | 0 6 2 |
| 51.1 | 1.789 | 16.8 | 0 0 4 |
| 59.6 | 1.550 | 24.7 | 2 6 2 |
| 67.6 | 1.386 | 20.2 | 3 3 3 |
| 75.1 | 1.266 | 24.4 | 1 9 -3 |
| 75.2 | 1.264 | 12.7 | 1 3 5 |

***

Record 2
Structure and theoretical X-ray diffraction stick pattern of Mg2BiOsO6 (a structure optimized by DFT (GGA-PBE); Cu Ka).
Lines closer than 0.1° are merged.

Structural model:
a = 7.9889 Å, b = 11.3194 Å, c = 5.7133 Å
α = 90.00°, β = 90.00°, γ = 90.00°
Space group Cmcm (No. 63)
Symmetry-distinct sites (fractional):
Mg  0.2031  0.0927  0.2500 [8 per cell]
Bi  0.0000  0.3966  0.2500 [4 per cell]
Os  0.0000  0.1881  0.7500 [4 per cell]
O  0.0000  0.1307  0.0486 [8 per cell]
O  0.1711  0.5000  0.0000 [8 per cell]
O  0.2168  0.2407  0.7500 [8 per cell]

The 12 most intense peaks (15° ≤ 2θ ≤ 90°), by angle:
| Position (°2θ) | d [Å] | I/Imax | hkl |
| --- | --- | --- | --- |
| 22.1 | 4.021 | 67.0 | 0 2 1 |
| 22.3 | 3.994 | 48.4 | 2 0 0 |
| 30.5 | 2.929 | 70.2 | 1 3 1 |
| 31.3 | 2.857 | 33.0 | 0 0 2 |
| 31.6 | 2.834 | 100.0 | 2 2 1 |
| 38.8 | 2.324 | 21.1 | 2 0 2 |
| 41.5 | 2.178 | 21.1 | 1 5 0 |
| 51.1 | 1.789 | 18.8 | 4 2 1 |
| 52.9 | 1.732 | 29.4 | 1 5 2 |
| 55.9 | 1.645 | 22.8 | 2 2 3 |
| 60.6 | 1.527 | 17.8 | 1 7 1 |
| 62.9 | 1.477 | 17.0 | 3 5 2 |